Record 1
# La14TmPu
Simulated powder diffraction line list, a wavelength of 1.5418 Å. Input: a crystal structure in Alexandria, relaxed with PBE.

Atomic structure:
a = 10.4248 Å, b = 7.3626 Å, c = 7.3626 Å
α = 90.00°, β = 90.00°, γ = 90.00°
Fractional coordinates of all 16 atoms:
La  0.0000  0.0000  0.0000
La  0.0000  0.0066  0.4924
La  0.0000  0.4924  0.0066
La  0.0000  0.4998  0.4998
La  0.2490  0.7485  0.7485
La  0.2572  0.2527  0.7468
La  0.2572  0.7468  0.2527
La  0.2649  0.2541  0.2541
La  0.5000  0.5059  0.9898
La  0.5000  0.9898  0.5059
La  0.7351  0.2541  0.2541
La  0.7428  0.2527  0.7468
La  0.7428  0.7468  0.2527
La  0.7510  0.7485  0.7485
Tm  0.5000  0.9991  0.9991
Pu  0.5000  0.4999  0.4999

Principal peaks in the range 10° ≤ 2θ ≤ 90°, most intense first:
- 3.007 Å, 2θ = 29.71°, intensity 100
- 2.604 Å, 2θ = 34.44°, intensity 51
- 1.570 Å, 2θ = 58.80°, intensity 42
- 1.841 Å, 2θ = 49.50°, intensity 36
- 1.195 Å, 2θ = 80.36°, intensity 17
- 1.165 Å, 2θ = 82.90°, intensity 16
- 1.503 Å, 2θ = 61.69°, intensity 12
- 1.302 Å, 2θ = 72.64°, intensity 4
- 1.303 Å, 2θ = 72.54°, intensity 2
- 2.527 Å, 2θ = 35.53°, intensity 1



Record 2
# PmHo3Bi3
Simulated powder diffraction line list, a wavelength of 1.5418 Å. Input: a crystal structure in Alexandria, relaxed with PBE.

Atomic structure:
a = 8.2132 Å, b = 8.2132 Å, c = 8.2132 Å
α = 67.95°, β = 67.95°, γ = 67.95°
Fractional coordinates of all 14 atoms:
Pm  0.1660  0.1660  0.1660
Pm  0.8340  0.8340  0.8340
Ho  0.1600  0.4178  0.6778
Ho  0.3222  0.8400  0.5822
Ho  0.4178  0.6778  0.1600
Ho  0.5822  0.3222  0.8400
Ho  0.6778  0.1600  0.4178
Ho  0.8400  0.5822  0.3222
Bi  0.0276  0.7993  0.4165
Bi  0.2007  0.5835  0.9724
Bi  0.4165  0.0276  0.7993
Bi  0.5835  0.9724  0.2007
Bi  0.7993  0.4165  0.0276
Bi  0.9724  0.2007  0.5835

Principal peaks in the range 10° ≤ 2θ ≤ 90°, most intense first:
- 2.590 Å, 2θ = 34.63°, intensity 100
- 2.650 Å, 2θ = 33.82°, intensity 90
- 2.863 Å, 2θ = 31.25°, intensity 84
- 3.137 Å, 2θ = 28.45°, intensity 68
- 4.590 Å, 2θ = 19.34°, intensity 55
- 2.533 Å, 2θ = 35.44°, intensity 55
- 2.967 Å, 2θ = 30.12°, intensity 49
- 1.852 Å, 2θ = 49.19°, intensity 42
- 2.024 Å, 2θ = 44.77°, intensity 34
- 3.705 Å, 2θ = 24.02°, intensity 27



Record 3
# Zn3Ag2Pd8
Simulated powder diffraction line list, a wavelength of 1.5418 Å. Input: a crystal structure in Alexandria, relaxed with PBE.

Atomic structure:
a = 6.6941 Å, b = 6.6941 Å, c = 5.2442 Å
α = 100.27°, β = 100.27°, γ = 68.62°
Fractional coordinates of all 13 atoms:
Zn  0.0000  0.0000  0.0000
Zn  0.2218  0.7782  0.5000
Zn  0.7782  0.2218  0.5000
Ag  0.3888  0.3888  0.0757
Ag  0.6112  0.6112  0.9243
Pd  0.0045  0.3759  0.2334
Pd  0.1612  0.1612  0.7184
Pd  0.3759  0.0045  0.2334
Pd  0.3813  0.3813  0.5686
Pd  0.6187  0.6187  0.4314
Pd  0.6241  0.9955  0.7666
Pd  0.8388  0.8388  0.2816
Pd  0.9955  0.6241  0.7666

Principal peaks in the range 10° ≤ 2θ ≤ 90°, most intense first:
- 2.234 Å, 2θ = 40.38°, intensity 100
- 2.513 Å, 2θ = 35.72°, intensity 82
- 2.077 Å, 2θ = 43.58°, intensity 60
- 2.196 Å, 2θ = 41.11°, intensity 54
- 2.160 Å, 2θ = 41.82°, intensity 54
- 2.169 Å, 2θ = 41.64°, intensity 50
- 2.269 Å, 2θ = 39.73°, intensity 50
- 2.141 Å, 2θ = 42.20°, intensity 41
- 1.268 Å, 2θ = 74.88°, intensity 39
- 2.253 Å, 2θ = 40.01°, intensity 27